Diffraction record for RuPtBr2. The XRD peak list is calculated, not measured: it uses a cell relaxed with PBE and copper Kα.
Neutral-atom scattering factors, no anomalous dispersion.

Peak list (10 most intense, 15 to 90 degrees two-theta, sorted by position)
- 35.28 deg, rel. 1000
- 40.58 deg, rel. 591
- 41.95 deg, rel. 232
- 42.53 deg, rel. 823
- 52.90 deg, rel. 119
- 58.73 deg, rel. 198
- 68.73 deg, rel. 216
- 70.40 deg, rel. 266
- 75.16 deg, rel. 306
- 82.97 deg, rel. 131

Crystal structure
Cell lengths 3.144, 3.144, 8.654 Å; angles 90.00, 90.00, 90.00 degrees
Sites, in units of the cell vectors:
Ru 0.000 0.000 0.000
Pt 0.500 0.500 0.820
Br 0.000 0.000 0.608
Br 0.500 0.500 0.190

***

Diffraction record for SbPtBr. The XRD peak list is calculated, not measured: it uses a cell relaxed with PBE and copper Kα.
Neutral-atom scattering factors, no anomalous dispersion.

Peak list (10 most intense, 15 to 90 degrees two-theta, sorted by position)
- 25.40 deg, rel. 378
- 27.16 deg, rel. 1000
- 34.33 deg, rel. 739
- 35.36 deg, rel. 780
- 36.36 deg, rel. 460
- 36.60 deg, rel. 600
- 37.29 deg, rel. 434
- 41.56 deg, rel. 586
- 43.47 deg, rel. 384
- 46.20 deg, rel. 503

Crystal structure
Cell lengths 5.473, 19.179, 3.767 Å; angles 90.00, 111.92, 90.00 degrees
Sites, in units of the cell vectors:
Sb 0.000 0.174 0.250
Sb 0.000 0.826 0.750
Sb 0.500 0.326 0.750
Sb 0.500 0.674 0.250
Pt 0.000 0.270 0.750
Pt 0.000 0.730 0.250
Pt 0.500 0.230 0.250
Pt 0.500 0.770 0.750
Br 0.000 0.408 0.750
Br 0.000 0.592 0.250
Br 0.500 0.092 0.250
Br 0.500 0.908 0.750